The following is a calculated powder diffraction line list of AcCeRu. It was derived from DFT lattice parameters and positions (GGA-PBE), using Cu Ka.

Main lines, sorted by position (2θ = 15–90°):
2θ = 26.9°, d = 3.317 Å, rel. 25, (1 1 0); 2θ = 27.9°, d = 3.193 Å, rel. 86, (-1 1 1); 2θ = 28.5°, d = 3.133 Å, rel. 28, (1 -1 1); 2θ = 28.9°, d = 3.085 Å, rel. 63, (1 1 -1); 2θ = 29.5°, d = 3.026 Å, rel. 69, (0 1 -2); 2θ = 30.0°, d = 2.979 Å, rel. 100, (0 1 2); 2θ = 31.5°, d = 2.841 Å, rel. 38, (1 0 2); 2θ = 35.8°, d = 2.511 Å, rel. 78, (0 2 0); 2θ = 39.0°, d = 2.309 Å, rel. 51, (2 0 0); 2θ = 40.2°, d = 2.241 Å, rel. 31, (1 0 -3)

Atomic structure:
abc: 4.630 5.030 7.494
angles: 90.83 92.73 92.87
Space group P-1 (No. 2)
Asymmetric unit:
Ac1 0.242 0.248 0.377 (multiplicity 2)
Ce1 0.255 0.740 0.022 (multiplicity 2)
Ru1 0.330 0.219 0.791 (multiplicity 2)